This entry pairs a crystal structure of SrEuW4O12 with its computed powder diffraction line list. Radiation: CuKα. Structure: a PBE+U-relaxed structure.

Cell and atoms:
Lattice parameters (Å, degrees): 7.8867 5.6399 5.6399 89.30 90.00 90.00
Sites, in units of the cell vectors:
Sr: 0.0000 0.0000 0.0000
Eu: 0.5000 0.5015 0.5015
W: 0.2503 0.0002 0.4995
W: 0.2503 0.4995 0.0002
W: 0.7497 0.0002 0.4995
W: 0.7497 0.4995 0.0002
O: 0.0000 0.5419 0.9782
O: 0.0000 0.9782 0.5419
O: 0.2241 0.2329 0.2329
O: 0.2549 0.2718 0.7306
O: 0.2549 0.7306 0.2718
O: 0.2762 0.7636 0.7636
O: 0.5000 0.0394 0.4666
O: 0.5000 0.4666 0.0394
O: 0.7238 0.7636 0.7636
O: 0.7451 0.2718 0.7306
O: 0.7451 0.7306 0.2718
O: 0.7759 0.2329 0.2329

Main lines, most intense first (2θ from 10° to 90°):
2θ 31.8, intensity 100.0
2θ 32.0, intensity 50.3
2θ 19.3, intensity 25.0
2θ 22.2, intensity 23.6
2θ 22.5, intensity 22.5
2θ 22.4, intensity 22.3
2θ 56.8, intensity 21.2
2θ 56.5, intensity 21.1
2θ 57.0, intensity 20.5
2θ 45.2, intensity 15.6